Record 1
Theoretical powder diffraction line list
Compound: LaYB4Rh6
Radiation: a wavelength of 1.5418 Å
Structure: DFT lattice parameters and positions (PBE)
Lines closer than 0.1° are merged.

Cell and atoms:
abc: 3.1525 5.4686 9.4789
angles: 90.00 90.00 90.00
Fractional coordinates of all 12 atoms:
La: 0.0000 0.0000 0.0000
Y: 0.0000 0.5000 0.5000
B: 0.0000 0.0000 0.3335
B: 0.0000 0.0000 0.6665
B: 0.0000 0.5000 0.1670
B: 0.0000 0.5000 0.8330
Rh: 0.5000 0.0000 0.5000
Rh: 0.5000 0.2532 0.2547
Rh: 0.5000 0.2532 0.7453
Rh: 0.5000 0.5000 0.0000
Rh: 0.5000 0.7468 0.2547
Rh: 0.5000 0.7468 0.7453

Largest 10 diffraction maxima, sorted by position, 10° ≤ 2θ ≤ 90°:
- 2θ = 28.3°, rel. 15.1
- 2θ = 34.2°, rel. 67.3
- 2θ = 38.0°, rel. 100.0
- 2θ = 43.8°, rel. 40.7
- 2θ = 48.0°, rel. 24.8
- 2θ = 59.4°, rel. 27.1
- 2θ = 66.2°, rel. 11.3
- 2θ = 68.6°, rel. 18.6
- 2θ = 72.0°, rel. 29.6
- 2θ = 78.9°, rel. 11.6

***

Record 2
Theoretical powder diffraction line list
Compound: YTlS
Radiation: a wavelength of 1.5418 Å
Structure: DFT lattice parameters and positions (PBE)
Lines closer than 0.1° are merged.

Cell and atoms:
abc: 9.5786 9.5786 9.5786
angles: 27.48 27.48 27.48
Fractional coordinates of all 6 atoms:
Y: 0.1050 0.1050 0.1050
Y: 0.8950 0.8950 0.8950
Tl: 0.3593 0.3593 0.3593
Tl: 0.6407 0.6407 0.6407
S: 0.2056 0.2056 0.2056
S: 0.7944 0.7944 0.7944

Largest 10 diffraction maxima, sorted by position, 10° ≤ 2θ ≤ 90°:
- 2θ = 26.0°, rel. 100.0
- 2θ = 32.1°, rel. 53.6
- 2θ = 34.5°, rel. 22.2
- 2θ = 39.6°, rel. 55.6
- 2θ = 40.9°, rel. 13.5
- 2θ = 42.7°, rel. 25.0
- 2θ = 48.0°, rel. 19.3
- 2θ = 51.9°, rel. 18.2
- 2θ = 64.0°, rel. 16.5
- 2θ = 67.2°, rel. 14.8

***

Repeat the second record exactly.
Theoretical powder diffraction line list
Compound: YTlS
Radiation: a wavelength of 1.5418 Å
Structure: DFT lattice parameters and positions (PBE)
Lines closer than 0.1° are merged.

Cell and atoms:
abc: 9.5786 9.5786 9.5786
angles: 27.48 27.48 27.48
Fractional coordinates of all 6 atoms:
Y: 0.1050 0.1050 0.1050
Y: 0.8950 0.8950 0.8950
Tl: 0.3593 0.3593 0.3593
Tl: 0.6407 0.6407 0.6407
S: 0.2056 0.2056 0.2056
S: 0.7944 0.7944 0.7944

Largest 10 diffraction maxima, sorted by position, 10° ≤ 2θ ≤ 90°:
- 2θ = 26.0°, rel. 100.0
- 2θ = 32.1°, rel. 53.6
- 2θ = 34.5°, rel. 22.2
- 2θ = 39.6°, rel. 55.6
- 2θ = 40.9°, rel. 13.5
- 2θ = 42.7°, rel. 25.0
- 2θ = 48.0°, rel. 19.3
- 2θ = 51.9°, rel. 18.2
- 2θ = 64.0°, rel. 16.5
- 2θ = 67.2°, rel. 14.8